Diffraction record for BeCuN. The PXRD pattern is theoretical, not measured: it uses a PBE-relaxed structure and Cu Ka.

Main lines, by angle (2θ from 10° to 80°):
| 2theta | Rel. int. | (hkl) |
| --- | --- | --- |
| 19.82 | 100 | 0 1 0 |
| 36.01 | 49 | 1 0 0 |
| 39.07 | 21 | 1 0 -2 |
| 40.27 | 26 | 0 2 0 |
| 41.44 | 46 | 1 1 0 |
| 42.56 | 18 | 0 0 2 |
| 44.18 | 49 | 1 1 -2 |
| 47.37 | 36 | 0 1 2 |
| 57.36 | 19 | 1 2 -2 |
| 60.03 | 18 | 0 2 2 |

Structural model:
a b c (Å): 2.909 4.479 4.955
angles (deg): 90.00 120.97 90.00
Space group Pc (No. 7)
One atom of each set of equivalent atoms:
Be 0.000 0.044 0.000 [2 per cell]
Cu 0.379 0.478 0.570 [2 per cell]
N 0.360 0.155 0.837 [2 per cell]

---

Diffraction record for BeCu2N. The PXRD pattern is theoretical, not measured: it uses a PBE-relaxed structure and Cu Ka.

Main lines, by angle (2θ from 10° to 80°):
| 2theta | Rel. int. | (hkl) |
| --- | --- | --- |
| 28.97 | 1 | 1 1 1 |
| 33.57 | 83 | 2 0 0 |
| 48.21 | 100 | 2 2 0 |
| 60.03 | 20 | 2 2 2 |
| 70.57 | 14 | 4 0 0 |

Structural model:
a b c (Å): 5.339 5.339 5.339
angles (deg): 90.00 90.00 90.00
Space group Fm-3m (No. 225)
One atom of each set of equivalent atoms:
Be 0.000 0.000 0.000 [4 per cell]
Cu 0.250 0.250 0.250 [8 per cell]
N 0.000 0.000 0.500 [4 per cell]